Starting from DFT lattice parameters and positions (GGA-PBE), the X-ray diffraction stick pattern of Dy6Y2Zn was computed for copper Kα.

Principal peaks in the range 10° ≤ 2θ ≤ 90°, in order of rising 2θ:
| 2θ (°) | I/Imax | hkl |
| --- | --- | --- |
| 31.4 | 74 | 0 3 1 |
| 31.7 | 100 | 3 0 1 |
| 32.1 | 33 | 2 3 0 |
| 32.3 | 22 | 3 2 0 |
| 32.7 | 59 | 1 3 1 |
| 33.0 | 34 | 3 1 1 |
| 33.5 | 66 | 0 0 2 |
| 38.1 | 29 | 3 3 0 |
| 47.1 | 23 | 2 3 2 |
| 51.6 | 29 | 3 3 2 |

Structural model:
```
data_Dy6Y2Zn
_space_group_name_H-M_alt 'P n n m'
_space_group_IT_number 58
_cell_length_a 9.967
_cell_length_b 10.080
_cell_length_c 5.353
_cell_angle_alpha 90.00
_cell_angle_beta 90.00
_cell_angle_gamma 90.00
loop_
_space_group_symop_operation_xyz
'x,y,z'
'-x,-y,-z'
'-x,-y,z'
'x,y,-z'
'x+1/2,-y+1/2,-z+1/2'
'-x+1/2,y+1/2,z+1/2'
'-x+1/2,y+1/2,-z+1/2'
'x+1/2,-y+1/2,z+1/2'
loop_
_atom_site_label
_atom_site_type_symbol
_atom_site_fract_x
_atom_site_fract_y
_atom_site_fract_z
Dy1 Dy 0.035 0.185 0.000
Dy2 Dy 0.125 0.617 0.500
Dy3 Dy 0.185 0.949 0.500
Y1 Y 0.209 0.276 0.500
Zn1 Zn 0.000 0.500 0.000
```

---

Starting from DFT lattice parameters and positions (GGA-PBE), the X-ray diffraction stick pattern of Li5Cd2Ag3 was computed for copper Kα.

Principal peaks in the range 10° ≤ 2θ ≤ 90°, in order of rising 2θ:
| 2θ (°) | I/Imax | hkl |
| --- | --- | --- |
| 21.2 | 100 | 1 3 0 |
| 22.2 | 29 | 2 2 0 |
| 25.7 | 30 | 2 1 1 |
| 34.8 | 96 | 3 2 1 |
| 36.0 | 24 | 1 1 2 |
| 36.6 | 37 | 0 2 2 |
| 38.7 | 40 | 0 6 0 |
| 41.6 | 55 | 3 4 1 |
| 43.1 | 23 | 0 4 2 |
| 48.6 | 19 | 3 3 2 |

Structural model:
```
data_Li5Cd2Ag3
_space_group_name_H-M_alt 'I b a m'
_space_group_IT_number 72
_space_group_name_Hall '-I 2 2c'
_cell_length_a 9.803
_cell_length_b 13.945
_cell_length_c 5.250
_cell_angle_alpha 90.00
_cell_angle_beta 90.00
_cell_angle_gamma 90.00
loop_
_atom_site_label
_atom_site_type_symbol
_atom_site_fract_x
_atom_site_fract_y
_atom_site_fract_z
Li1 Li 0.000 0.000 0.250
Li2 Li 0.089 0.334 0.000
Li3 Li 0.249 0.000 0.250
Cd1 Cd 0.095 0.165 0.500
Ag1 Ag 0.000 0.500 0.250
Ag2 Ag 0.239 0.166 0.000
```

---

Starting from DFT lattice parameters and positions (GGA-PBE), the X-ray diffraction stick pattern of CaZnRe2O8 was computed for copper Kα.

Principal peaks in the range 10° ≤ 2θ ≤ 90°, in order of rising 2θ:
| 2θ (°) | I/Imax | hkl |
| --- | --- | --- |
| 17.9 | 100 | 1 1 0 |
| 24.8 | 82 | 2 0 0 |
| 26.0 | 67 | 0 2 0 |
| 35.1 | 100 | 1 1 2 |
| 36.3 | 33 | 2 2 0 |
| 39.2 | 23 | 2 0 2 |
| 41.5 | 15 | 1 3 0 |
| 50.7 | 48 | 3 1 -2 |
| 52.0 | 37 | 1 3 2 |
| 64.5 | 25 | 3 3 -2 |

Structural model:
```
data_CaZnRe2O8
_space_group_name_H-M_alt 'C 1 2/m 1'
_space_group_IT_number 12
_cell_length_a 7.175
_cell_length_b 6.853
_cell_length_c 5.973
_cell_angle_alpha 90.00
_cell_angle_beta 90.07
_cell_angle_gamma 90.00
loop_
_space_group_symop_operation_xyz
'x,y,z'
'-x,-y,-z'
'-x,y,-z'
'x,-y,z'
'x+1/2,y+1/2,z'
'-x+1/2,-y+1/2,-z'
'-x+1/2,y+1/2,-z'
'x+1/2,-y+1/2,z'
loop_
_atom_site_label
_atom_site_type_symbol
_atom_site_fract_x
_atom_site_fract_y
_atom_site_fract_z
Ca1 Ca 0.000 0.000 0.000
Zn1 Zn 0.000 0.000 0.500
Re1 Re 0.000 0.500 0.271
O1 O 0.000 0.232 0.273
O2 O 0.169 0.500 0.001
O3 O 0.205 0.500 0.500
```